Theoretical XRD peak list of Ac8Pt4Se for CuKα, from the GGA-PBE geometry in Alexandria.
Neutral-atom scattering factors, no anomalous dispersion.

Main lines, in order of falling intensity (2θ = 15–90°):
Position (°2θ)  d (Å)  intensity
26.97  3.306  100
25.83  3.450  82
41.68  2.167  76
36.19  2.482  69
30.28  2.951  50
40.69  2.217  45
27.65  3.226  37
49.90  1.828  33
31.92  2.804  30
26.14  3.409  28
23.97  3.712  27
42.16  2.144  25

Atomic structure:
```
data_Ac8Pt4Se
_cell_length_a 22.0473
_cell_length_b 4.4345
_cell_length_c 14.8843
_cell_angle_alpha 90.00
_cell_angle_beta 131.66
_cell_angle_gamma 90.00
_space_group_name_H-M_alt 'C 1 m 1'
_space_group_IT_number 8
_space_group_name_Hall 'C -2y'
loop_
_atom_site_label
_atom_site_fract_x
_atom_site_fract_y
_atom_site_fract_z
Ac1 0.0000 0.0000 0.0000
Ac2 0.0283 0.0000 0.7511
Ac3 0.1318 0.5000 0.6310
Ac4 0.2086 0.5000 0.0662
Ac5 0.3017 0.0000 0.9375
Ac6 0.3321 0.0000 0.6831
Ac7 0.3792 0.0000 0.4236
Ac8 0.4558 0.5000 0.2787
Pt1 0.0090 0.0000 0.5241
Pt2 0.0204 0.5000 0.8864
Pt3 0.3173 0.5000 0.8134
Pt4 0.3335 0.0000 0.1748
Se1 0.3266 0.5000 0.5206
```